This entry pairs a crystal structure of V4CoCuO12 with its simulated X-ray powder pattern. Radiation: copper Kα. Structure: a cell relaxed with PBE+U.
Kinematic intensities with the Lorentz-polarization factor, no thermal factor.

Atomic structure:
```
data_V4CoCuO12
_space_group_name_H-M_alt 'P 1'
_space_group_IT_number 1
_space_group_name_Hall 'P 1'
_cell_length_a 6.586
_cell_length_b 6.586
_cell_length_c 6.003
_cell_angle_alpha 103.42
_cell_angle_beta 103.42
_cell_angle_gamma 84.17
loop_
_atom_site_label
_atom_site_type_symbol
_atom_site_fract_x
_atom_site_fract_y
_atom_site_fract_z
V1 V 0.198 0.198 0.482
V2 V 0.383 0.026 0.993
V3 V 0.802 0.802 0.518
V4 V 0.974 0.617 0.007
Co1 Co 0.670 0.330 0.500
Cu1 Cu 0.504 0.496 0.000
O1 O 0.212 0.490 0.016
O2 O 0.214 0.050 0.193
O3 O 0.245 0.043 0.703
O4 O 0.386 0.376 0.567
O5 O 0.510 0.788 0.984
O6 O 0.554 0.227 0.108
O7 O 0.624 0.614 0.433
O8 O 0.679 0.041 0.530
O9 O 0.773 0.446 0.892
O10 O 0.950 0.786 0.807
O11 O 0.957 0.755 0.297
O12 O 0.959 0.321 0.470
```

Principal peaks in the range 2θ from 10° to 90°, by angle:
13.84 deg, I 30.8
18.48 deg, I 43.4
20.12 deg, I 55.5
23.02 deg, I 33.2
25.52 deg, I 15.7
28.91 deg, I 100.0
30.61 deg, I 70.7
31.38 deg, I 64.1
34.99 deg, I 30.1
46.18 deg, I 26.3
50.27 deg, I 24.2
56.51 deg, I 21.3

=====

This entry pairs a crystal structure of Na2Ni7O14 with its simulated X-ray powder pattern. Radiation: copper Kα. Structure: a cell relaxed with PBE+U.
Kinematic intensities with the Lorentz-polarization factor, no thermal factor.

Atomic structure:
```
data_Na2Ni7O14
_space_group_name_H-M_alt 'P 1'
_space_group_IT_number 1
_space_group_name_Hall 'P 1'
_cell_length_a 4.844
_cell_length_b 6.506
_cell_length_c 9.015
_cell_angle_alpha 99.80
_cell_angle_beta 94.73
_cell_angle_gamma 103.71
loop_
_atom_site_label
_atom_site_type_symbol
_atom_site_fract_x
_atom_site_fract_y
_atom_site_fract_z
Na1 Na 0.136 0.280 0.287
Na2 Na 0.864 0.720 0.713
Ni1 Ni 0.000 0.500 0.000
Ni2 Ni 0.136 0.782 0.285
Ni3 Ni 0.290 0.074 0.573
Ni4 Ni 0.433 0.357 0.859
Ni5 Ni 0.567 0.643 0.141
Ni6 Ni 0.710 0.926 0.427
Ni7 Ni 0.864 0.218 0.715
O1 O 0.001 0.208 0.528
O2 O 0.131 0.481 0.809
O3 O 0.163 0.096 0.769
O4 O 0.267 0.764 0.092
O5 O 0.300 0.380 0.052
O6 O 0.401 0.044 0.372
O7 O 0.421 0.643 0.324
O8 O 0.579 0.357 0.676
O9 O 0.599 0.956 0.628
O10 O 0.700 0.620 0.948
O11 O 0.733 0.236 0.908
O12 O 0.837 0.904 0.231
O13 O 0.869 0.519 0.191
O14 O 0.999 0.792 0.472
```

Principal peaks in the range 2θ from 10° to 90°, by angle:
15.79 deg, I 100.0
31.88 deg, I 8.6
36.84 deg, I 6.1
37.41 deg, I 5.7
37.55 deg, I 5.4
42.28 deg, I 13.3
43.11 deg, I 12.6
43.21 deg, I 12.4
52.85 deg, I 4.9
53.84 deg, I 9.4
57.87 deg, I 3.4
67.99 deg, I 4.7